This entry pairs a crystal structure of La11Ni4Ge6 with its computed PXRD pattern. Radiation: Cu Kα X-rays. Structure: a cell relaxed with PBE.

Lattice parameters (Å, degrees): 4.417 9.579 14.283 106.02 90.01 103.32
Space group P1 (No. 1)
Unique sites:
La 0.000 0.000 0.000 x1
La 0.047 0.098 0.567 x1
La 0.142 0.287 0.851 x1
La 0.235 0.476 0.136 x1
La 0.285 0.576 0.703 x1
La 0.356 0.719 0.451 x1
La 0.478 0.966 0.758 x1
La 0.594 0.191 0.226 x1
La 0.689 0.385 0.477 x1
La 0.803 0.610 0.944 x1
La 0.926 0.856 0.251 x1
Ni 0.081 0.166 0.375 x1
Ni 0.201 0.407 0.327 x1
Ni 0.389 0.784 0.902 x1
Ni 0.892 0.795 0.801 x1
Ge 0.403 0.810 0.085 x1
Ge 0.514 0.032 0.400 x1
Ge 0.628 0.259 0.001 x1
Ge 0.656 0.316 0.701 x1
Ge 0.769 0.544 0.303 x1
Ge 0.878 0.764 0.617 x1

Top 10 peaks for 2θ from 10° to 90°, sorted by position:
2θ (°), Rel. int., h k l
27.55, 37, 1 0 -3
29.10, 43, 0 3 -2
29.53, 47, -1 1 3
30.26, 100, -1 2 2
31.37, 38, 0 1 -5
31.97, 56, 1 -3 2
32.33, 58, 1 -1 4
33.15, 59, 0 2 -5
34.31, 54, 1 2 1
40.86, 84, 2 -1 0



This entry pairs a crystal structure of La11Ni4Ge6 with its computed PXRD pattern. Radiation: Cu Kα X-rays. Structure: a cell relaxed with PBE.

Lattice parameters (Å, degrees): 18.643 4.417 14.283 90.00 106.48 90.00
Space group Cm (No. 8)
Unique sites:
La 0.000 0.000 0.000 x2
La 0.017 0.500 0.242 x2
La 0.066 0.500 0.808 x2
La 0.117 0.000 0.468 x2
La 0.163 0.500 0.093 x2
La 0.210 0.000 0.718 x2
La 0.255 0.500 0.378 x2
La 0.310 0.500 0.945 x2
La 0.327 0.000 0.186 x2
La 0.377 0.500 0.693 x2
La 0.450 0.000 0.494 x2
Ni 0.100 0.500 0.617 x2
Ni 0.221 0.500 0.569 x2
Ni 0.412 0.500 0.143 x2
Ni 0.415 0.000 0.043 x2
Ge 0.038 0.000 0.641 x2
Ge 0.152 0.000 0.243 x2
Ge 0.175 0.000 0.943 x2
Ge 0.289 0.000 0.545 x2
Ge 0.405 0.000 0.860 x2
Ge 0.422 0.500 0.327 x2

Top 10 peaks for 2θ from 10° to 90°, sorted by position:
2θ (°), Rel. int., h k l
27.55, 39, 1 1 -3
29.10, 47, 6 0 -2
29.53, 50, 1 1 3
30.26, 100, 3 1 2
31.37, 39, 2 0 -5
31.97, 55, 5 1 -2
32.33, 61, 1 1 -4
33.15, 62, 4 0 -5
34.31, 58, 5 1 1
40.86, 80, 0 2 0



This entry pairs a crystal structure of LaNiGe3 with its computed PXRD pattern. Radiation: Cu Kα X-rays. Structure: a cell relaxed with PBE.

Lattice parameters (Å, degrees): 4.428 4.428 9.774 90.00 90.00 90.00
Space group I4mm (No. 107)
Unique sites:
La 0.000 0.000 0.000 x2
Ni 0.000 0.000 0.663 x2
Ge 0.000 0.000 0.421 x2
Ge 0.000 0.500 0.258 x4

Top 10 peaks for 2θ from 10° to 90°, sorted by position:
2θ (°), Rel. int., h k l
28.50, 14, 1 1 0
34.00, 100, 1 1 2
34.17, 47, 1 0 3
40.75, 62, 2 0 0
47.18, 13, 1 1 4
51.07, 14, 1 0 5
54.20, 25, 2 1 3
56.05, 15, 2 0 4
58.99, 20, 2 2 0
69.89, 30, 3 1 2



This entry pairs a crystal structure of LaNiGe2 with its computed PXRD pattern. Radiation: Cu Kα X-rays. Structure: a cell relaxed with PBE.

Lattice parameters (Å, degrees): 4.322 16.972 4.270 90.00 90.00 90.00
Space group Cmcm (No. 63)
Unique sites:
La 0.000 0.109 0.250 x4
Ni 0.000 0.318 0.250 x4
Ge 0.000 0.250 0.750 x4
Ge 0.000 0.457 0.250 x4

Top 10 peaks for 2θ from 10° to 90°, sorted by position:
2θ (°), Rel. int., h k l
29.88, 15, 1 1 1
33.51, 100, 1 3 1
38.16, 23, 0 6 1
41.80, 23, 2 0 0
42.33, 22, 0 0 2
52.98, 10, 1 9 0
55.08, 13, 1 5 2
57.87, 14, 2 6 1
61.00, 14, 2 0 2
71.04, 11, 3 3 1



This entry pairs a crystal structure of La2Ni4Ge3P with its computed PXRD pattern. Radiation: Cu Kα X-rays. Structure: a cell relaxed with PBE.

Lattice parameters (Å, degrees): 4.160 4.160 9.817 90.00 90.00 90.00
Space group P4mm (No. 99)
Unique sites:
La 0.000 0.000 0.000 x1
La 0.500 0.500 0.492 x1
Ni 0.000 0.500 0.236 x2
Ni 0.000 0.500 0.747 x2
Ge 0.000 0.000 0.362 x1
Ge 0.000 0.000 0.628 x1
Ge 0.500 0.500 0.863 x1
P 0.500 0.500 0.134 x1

Top 10 peaks for 2θ from 10° to 90°, sorted by position:
2θ (°), Rel. int., h k l
30.39, 21, 1 1 0
34.88, 94, 1 0 3
35.58, 100, 1 1 2
43.51, 68, 2 0 0
51.47, 21, 1 0 5
56.94, 45, 2 1 3
63.23, 22, 2 2 0
65.25, 23, 1 1 6
69.62, 17, 2 1 5
74.71, 21, 3 1 2



This entry pairs a crystal structure of La15Ge9O with its computed PXRD pattern. Radiation: Cu Kα X-rays. Structure: a cell relaxed with PBE.

Lattice parameters (Å, degrees): 15.5509 15.5509 6.8954 90.00 90.00 120.00
Space group P6_3mc (No. 186)
Unique sites:
La 0.0184 0.3431 0.0000 x12
La 0.0825 0.1650 0.2779 x6
La 0.1723 0.5861 0.2630 x6
La 0.2539 0.5078 0.7126 x6
Ge 0.0664 0.5332 0.7343 x6
Ge 0.1321 0.2641 0.7211 x6
Ge 0.2000 0.4001 0.2877 x6
O 0.3333 0.6667 0.4880 x2

Top 10 peaks for 2θ from 10° to 90°, sorted by position:
2θ (°), Rel. int., h k l
28.32, 27, 1 1 2
30.42, 36, 4 1 0
32.75, 83, 3 0 2
33.14, 100, 4 1 1
34.61, 36, 3 3 0
48.39, 19, 6 0 2
50.40, 23, 4 1 3
53.03, 12, 7 1 1
54.17, 17, 4 4 2
65.89, 12, 5 5 2



This entry pairs a crystal structure of La2GeO5 with its computed PXRD pattern. Radiation: Cu Kα X-rays. Structure: a cell relaxed with PBE.

Lattice parameters (Å, degrees): 9.685 7.529 7.138 90.00 107.46 90.00
Space group P2_1/c (No. 14)
Unique sites:
La 0.022 0.125 0.235 x4
La 0.382 0.145 0.084 x4
Ge 0.299 0.589 0.041 x4
O 0.110 0.638 0.990 x4
O 0.113 0.123 0.949 x4
O 0.292 0.077 0.355 x4
O 0.370 0.045 0.751 x4
O 0.408 0.727 0.553 x4

Top 10 peaks for 2θ from 10° to 90°, sorted by position:
2θ (°), Rel. int., h k l
27.07, 90, 0 2 1
27.48, 100, 2 0 -2
28.99, 74, 3 0 0
30.09, 82, 1 2 1
30.59, 59, 1 0 2
30.97, 67, 2 2 -1
43.02, 40, 3 2 1
45.13, 51, 1 2 -3
48.55, 29, 5 1 -1
53.22, 32, 4 2 -3